No. 1
# Cr2HgS4
Computed powder diffraction line list, Cu Kα (λ = 1.5418 Å). Input: a PBE-relaxed structure.
No peak broadening, texture or thermal motion is included.

Most intense lines, 10° ≤ 2θ ≤ 90°, by angle:
| 2θ (°) | I (rel.) |
| --- | --- |
| 15.9 | 30.8 |
| 20.6 | 45.1 |
| 26.1 | 32.3 |
| 27.0 | 100.0 |
| 29.8 | 35.7 |
| 33.2 | 47.6 |
| 33.7 | 39.8 |
| 34.0 | 56.0 |
| 36.5 | 53.7 |
| 51.4 | 32.1 |

Atomic structure:
Cell lengths 11.7341, 7.4588, 12.0044 Å; angles 90.00, 90.00, 90.00 degrees
Sites, in units of the cell vectors:
Cr 0.1172 0.1333 0.0000
Cr 0.1289 0.6441 0.6260
Cr 0.1406 0.8720 0.3012
Cr 0.1561 0.3741 0.2455
Cr 0.3439 0.3741 0.7455
Cr 0.3594 0.8720 0.8012
Cr 0.3711 0.6441 0.1260
Cr 0.3828 0.1333 0.5000
Cr 0.6172 0.8667 0.0000
Cr 0.6289 0.3559 0.6260
Cr 0.6406 0.1280 0.3012
Cr 0.6561 0.6259 0.2455
Cr 0.8439 0.6259 0.7455
Cr 0.8594 0.1280 0.8012
Cr 0.8711 0.3559 0.1260
Cr 0.8828 0.8667 0.5000
Hg 0.0841 0.6250 0.9646
Hg 0.1195 0.1176 0.6328
Hg 0.3805 0.1176 0.1328
Hg 0.4159 0.6250 0.4646
Hg 0.5841 0.3750 0.9646
Hg 0.6195 0.8824 0.6328
Hg 0.8805 0.8824 0.1328
Hg 0.9159 0.3750 0.4646
S 0.0122 0.5728 0.1801
S 0.0203 0.0675 0.4336
S 0.0248 0.1573 0.1784
S 0.0409 0.6786 0.4447
S 0.2133 0.8740 0.1049
S 0.2280 0.6234 0.7999
S 0.2323 0.1284 0.8313
S 0.2423 0.3831 0.0739
S 0.2577 0.3831 0.5739
S 0.2677 0.1284 0.3313
S 0.2720 0.6234 0.2999
S 0.2867 0.8740 0.6049
S 0.4591 0.6786 0.9447
S 0.4752 0.1573 0.6784
S 0.4797 0.0675 0.9336
S 0.4878 0.5728 0.6801
S 0.5122 0.4272 0.1801
S 0.5203 0.9325 0.4336
S 0.5248 0.8427 0.1784
S 0.5409 0.3214 0.4447
S 0.7133 0.1260 0.1049
S 0.7280 0.3766 0.7999
S 0.7323 0.8716 0.8313
S 0.7423 0.6169 0.0739
S 0.7577 0.6169 0.5739
S 0.7677 0.8716 0.3313
S 0.7720 0.3766 0.2999
S 0.7867 0.1260 0.6049
S 0.9591 0.3214 0.9447
S 0.9752 0.8427 0.6784
S 0.9797 0.9325 0.9336
S 0.9878 0.4272 0.6801

No. 2
# Cr2HgS4
Computed powder diffraction line list, Cu Kα (λ = 1.5418 Å). Input: a PBE-relaxed structure.
No peak broadening, texture or thermal motion is included.

Most intense lines, 10° ≤ 2θ ≤ 90°, by angle:
| 2θ (°) | I (rel.) |
| --- | --- |
| 10.4 | 63.2 |
| 16.1 | 26.3 |
| 22.7 | 46.5 |
| 26.9 | 85.2 |
| 27.1 | 46.2 |
| 28.7 | 29.6 |
| 32.8 | 43.4 |
| 34.0 | 100.0 |
| 36.6 | 45.6 |
| 46.9 | 33.1 |

Atomic structure:
Cell lengths 12.4622, 3.5591, 11.7365 Å; angles 90.00, 90.00, 90.00 degrees
Sites, in units of the cell vectors:
Cr 0.0904 0.2500 0.0837
Cr 0.1745 0.2500 0.7078
Cr 0.3255 0.7500 0.2078
Cr 0.4096 0.7500 0.5837
Cr 0.5904 0.2500 0.4163
Cr 0.6745 0.2500 0.7922
Cr 0.8255 0.7500 0.2922
Cr 0.9096 0.7500 0.9163
Hg 0.1333 0.7500 0.4200
Hg 0.3667 0.2500 0.9200
Hg 0.6333 0.7500 0.0800
Hg 0.8667 0.2500 0.5800
S 0.0394 0.2500 0.8801
S 0.0733 0.7500 0.6238
S 0.1938 0.2500 0.2625
S 0.2109 0.7500 0.0472
S 0.2891 0.2500 0.5472
S 0.3062 0.7500 0.7625
S 0.4267 0.2500 0.1238
S 0.4606 0.7500 0.3801
S 0.5394 0.2500 0.6199
S 0.5733 0.7500 0.8762
S 0.6938 0.2500 0.2375
S 0.7109 0.7500 0.4528
S 0.7891 0.2500 0.9528
S 0.8062 0.7500 0.7375
S 0.9267 0.2500 0.3762
S 0.9606 0.7500 0.1199

No. 3
# Cr2HgS4
Computed powder diffraction line list, Cu Kα (λ = 1.5418 Å). Input: a PBE-relaxed structure.
No peak broadening, texture or thermal motion is included.

Most intense lines, 10° ≤ 2θ ≤ 90°, by angle:
| 2θ (°) | I (rel.) |
| --- | --- |
| 16.2 | 60.0 |
| 17.7 | 91.9 |
| 19.9 | 95.5 |
| 20.4 | 71.0 |
| 23.7 | 39.9 |
| 30.3 | 45.7 |
| 32.8 | 56.2 |
| 38.5 | 100.0 |
| 41.3 | 46.7 |
| 45.9 | 53.4 |

Atomic structure:
Cell lengths 9.1504, 9.1504, 5.5248 Å; angles 98.81, 98.81, 18.82 degrees
Sites, in units of the cell vectors:
Cr 0.2459 0.2459 0.1959
Cr 0.7541 0.7541 0.8041
Hg 0.5000 0.5000 0.5000
S 0.1816 0.1816 0.5386
S 0.3409 0.3409 0.9732
S 0.6591 0.6591 0.0268
S 0.8184 0.8184 0.4614

No. 4
# Cr2HgSe3S
Computed powder diffraction line list, Cu Kα (λ = 1.5418 Å). Input: a PBE-relaxed structure.
No peak broadening, texture or thermal motion is included.

Most intense lines, 10° ≤ 2θ ≤ 90°, by angle:
| 2θ (°) | I (rel.) |
| --- | --- |
| 23.3 | 75.5 |
| 23.4 | 24.0 |
| 27.4 | 100.0 |
| 36.4 | 20.3 |
| 41.0 | 22.6 |
| 41.1 | 15.6 |
| 43.6 | 48.5 |
| 43.7 | 23.5 |
| 47.6 | 15.4 |
| 47.7 | 60.7 |

Atomic structure:
Cell lengths 7.6229, 7.6229, 7.6229 Å; angles 120.19, 119.83, 89.99 degrees
Sites, in units of the cell vectors:
Cr 0.2410 0.0000 0.2410
Cr 0.7548 0.0046 0.2498
Cr 0.7548 0.5050 0.7502
Cr 0.7590 0.0000 0.7590
Hg 0.1148 0.6148 0.5000
Hg 0.3771 0.3771 0.0000
Se 0.5159 0.2352 0.2807
Se 0.5186 0.2330 0.7144
Se 0.5186 0.8043 0.2856
Se 0.5453 0.7648 0.7805
Se 0.9544 0.2352 0.7193
Se 0.9843 0.7648 0.2195
S 0.9807 0.1931 0.2124
S 0.9807 0.7682 0.7876

No. 5
# Cr2HgSe4
Computed powder diffraction line list, Cu Kα (λ = 1.5418 Å). Input: a PBE-relaxed structure.
No peak broadening, texture or thermal motion is included.

Most intense lines, 10° ≤ 2θ ≤ 90°, by angle:
| 2θ (°) | I (rel.) |
| --- | --- |
| 23.1 | 92.9 |
| 27.1 | 88.0 |
| 28.3 | 30.0 |
| 35.9 | 36.1 |
| 40.5 | 34.1 |
| 43.1 | 74.2 |
| 47.1 | 100.0 |
| 63.9 | 28.3 |
| 65.8 | 19.5 |
| 87.7 | 24.3 |

Atomic structure:
Cell lengths 7.7121, 7.7121, 7.7121 Å; angles 60.00, 60.00, 60.00 degrees
Sites, in units of the cell vectors:
Cr 0.0000 0.0000 0.0000
Cr 0.0000 0.0000 0.5000
Cr 0.0000 0.5000 0.0000
Cr 0.5000 0.0000 0.0000
Hg 0.3750 0.3750 0.3750
Hg 0.6250 0.6250 0.6250
Se 0.2000 0.7667 0.7667
Se 0.2333 0.2333 0.2333
Se 0.2333 0.2333 0.8000
Se 0.2333 0.8000 0.2333
Se 0.7667 0.2000 0.7667
Se 0.7667 0.7667 0.2000
Se 0.7667 0.7667 0.7667
Se 0.8000 0.2333 0.2333

No. 6
# Ho4CrSe7
Computed powder diffraction line list, Cu Kα (λ = 1.5418 Å). Input: a PBE-relaxed structure.
No peak broadening, texture or thermal motion is included.

Most intense lines, 10° ≤ 2θ ≤ 90°, by angle:
| 2θ (°) | I (rel.) |
| --- | --- |
| 23.7 | 100.0 |
| 30.6 | 80.0 |
| 31.1 | 73.9 |
| 32.1 | 67.0 |
| 33.5 | 63.2 |
| 35.4 | 34.2 |
| 37.8 | 26.1 |
| 41.0 | 44.8 |
| 45.8 | 64.4 |
| 46.3 | 32.5 |

Atomic structure:
Cell lengths 6.8071, 6.8071, 11.9256 Å; angles 104.90, 104.90, 33.87 degrees
Sites, in units of the cell vectors:
Ho 0.0000 0.0000 0.0000
Ho 0.3871 0.3871 0.5946
Ho 0.5805 0.5805 0.3562
Ho 0.6952 0.6952 0.8003
Cr 0.8093 0.8093 0.2181
Se 0.0338 0.0338 0.7416
Se 0.2012 0.2012 0.2871
Se 0.3580 0.3580 0.8440
Se 0.4215 0.4215 0.1450
Se 0.6630 0.6630 0.0231
Se 0.7292 0.7292 0.5780
Se 0.9466 0.9466 0.4278